# Tm
Computed powder XRD pattern, Cu Kα, 1.54184 Å. Input: a PBE-relaxed structure.
No peak broadening, texture or thermal motion is included.

```
data_Tm
_chemical_formula_sum 'Tm9'
_space_group_name_H-M_alt 'R -3 m'
_space_group_IT_number 166
_space_group_name_Hall '-R 3 2"'
_cell_length_a 3.4952
_cell_length_b 3.4952
_cell_length_c 25.1264
_cell_angle_alpha 90.00
_cell_angle_beta 90.00
_cell_angle_gamma 120.00
loop_
_atom_site_label
_atom_site_fract_x
_atom_site_fract_y
_atom_site_fract_z
Tm1 0.0000 0.0000 0.0000
Tm2 0.0000 0.0000 0.2221
```

Most intense lines, 2θ = 10–90°, sorted by position:
(1 0 1), 2θ = 29.7°, d 3.005, I 369; (0 1 2), 2θ = 30.4°, d 2.943, I 148; (0 0 9), 2θ = 32.1°, d 2.792, I 500; (1 0 4), 2θ = 32.8°, d 2.727, I 1000; (0 1 5), 2θ = 34.6°, d 2.593, I 876; (0 1 8), 2θ = 41.4°, d 2.180, I 149; (1 1 0), 2θ = 52.4°, d 1.748, I 381; (1 0 13), 2θ = 56.5°, d 1.629, I 215; (0 1 14), 2θ = 59.9°, d 1.544, I 183; (1 1 9), 2θ = 62.7°, d 1.481, I 443; (0 2 4), 2θ = 63.2°, d 1.471, I 154; (1 1 18), 2θ = 90.0°, d 1.091, I 175

***

# Tm
Computed powder XRD pattern, Cu Kα, 1.54184 Å. Input: a PBE-relaxed structure.
No peak broadening, texture or thermal motion is included.

```
data_Tm
_chemical_formula_sum 'Tm2'
_space_group_name_H-M_alt 'I 4/m m m'
_space_group_IT_number 139
_space_group_name_Hall '-I 4 2'
_cell_length_a 3.4574
_cell_length_b 3.4574
_cell_length_c 4.9656
_cell_angle_alpha 90.00
_cell_angle_beta 90.00
_cell_angle_gamma 90.00
loop_
_atom_site_label
_atom_site_fract_x
_atom_site_fract_y
_atom_site_fract_z
Tm1 0.0000 0.0000 0.0000
```

Most intense lines, 2θ = 10–90°, sorted by position:
(1 0 1), 2θ = 31.5°, d 2.837, I 1000; (0 0 2), 2θ = 36.2°, d 2.483, I 173; (1 1 0), 2θ = 36.8°, d 2.445, I 332; (1 1 2), 2θ = 52.5°, d 1.742, I 241; (2 0 0), 2θ = 53.0°, d 1.729, I 117; (1 0 3), 2θ = 62.2°, d 1.493, I 145; (2 1 1), 2θ = 63.0°, d 1.476, I 280; (2 0 2), 2θ = 65.8°, d 1.419, I 122; (2 1 3), 2θ = 86.0°, d 1.130, I 121; (3 0 1), 2θ = 86.7°, d 1.123, I 60; (1 1 4), 2θ = 88.3°, d 1.107, I 58; (2 2 2), 2θ = 89.3°, d 1.097, I 56

***

# Tm2ZrW2
Computed powder XRD pattern, Cu Kα, 1.54184 Å. Input: a PBE-relaxed structure.
No peak broadening, texture or thermal motion is included.

```
data_Tm2ZrW2
_chemical_formula_sum 'Tm2 Zr1 W2'
_space_group_name_H-M_alt 'P -1'
_space_group_IT_number 2
_cell_length_a 3.0791
_cell_length_b 5.3691
_cell_length_c 7.0790
_cell_angle_alpha 102.15
_cell_angle_beta 99.99
_cell_angle_gamma 94.44
loop_
_space_group_symop_operation_xyz
'x,y,z'
'-x,-y,-z'
loop_
_atom_site_label
_atom_site_fract_x
_atom_site_fract_y
_atom_site_fract_z
Tm1 0.0921 0.4176 0.2426
Zr1 0.5000 0.0000 0.5000
W1 0.3757 0.1328 0.8803
```

Most intense lines, 2θ = 10–90°, sorted by position:
(0 0 1), 2θ = 13.0°, d 6.788, I 617; (0 2 -1), 2θ = 33.9°, d 2.643, I 795; (-1 1 1), 2θ = 34.4°, d 2.604, I 462; (0 1 2), 2θ = 34.7°, d 2.587, I 764; (1 0 -2), 2θ = 35.8°, d 2.508, I 648; (1 -1 1), 2θ = 35.9°, d 2.501, I 677; (1 1 0), 2θ = 36.2°, d 2.483, I 1000; (0 2 -2), 2θ = 38.5°, d 2.341, I 295; (0 1 -3), 2θ = 39.6°, d 2.274, I 417; (0 2 1), 2θ = 39.8°, d 2.265, I 390; (1 -1 2), 2θ = 43.5°, d 2.080, I 195; (-1 2 1), 2θ = 45.9°, d 1.977, I 184

***

Copy entry 3 word for word.
# Tm2ZrW2
Computed powder XRD pattern, Cu Kα, 1.54184 Å. Input: a PBE-relaxed structure.
No peak broadening, texture or thermal motion is included.

```
data_Tm2ZrW2
_chemical_formula_sum 'Tm2 Zr1 W2'
_space_group_name_H-M_alt 'P -1'
_space_group_IT_number 2
_cell_length_a 3.0791
_cell_length_b 5.3691
_cell_length_c 7.0790
_cell_angle_alpha 102.15
_cell_angle_beta 99.99
_cell_angle_gamma 94.44
loop_
_space_group_symop_operation_xyz
'x,y,z'
'-x,-y,-z'
loop_
_atom_site_label
_atom_site_fract_x
_atom_site_fract_y
_atom_site_fract_z
Tm1 0.0921 0.4176 0.2426
Zr1 0.5000 0.0000 0.5000
W1 0.3757 0.1328 0.8803
```

Most intense lines, 2θ = 10–90°, sorted by position:
(0 0 1), 2θ = 13.0°, d 6.788, I 617; (0 2 -1), 2θ = 33.9°, d 2.643, I 795; (-1 1 1), 2θ = 34.4°, d 2.604, I 462; (0 1 2), 2θ = 34.7°, d 2.587, I 764; (1 0 -2), 2θ = 35.8°, d 2.508, I 648; (1 -1 1), 2θ = 35.9°, d 2.501, I 677; (1 1 0), 2θ = 36.2°, d 2.483, I 1000; (0 2 -2), 2θ = 38.5°, d 2.341, I 295; (0 1 -3), 2θ = 39.6°, d 2.274, I 417; (0 2 1), 2θ = 39.8°, d 2.265, I 390; (1 -1 2), 2θ = 43.5°, d 2.080, I 195; (-1 2 1), 2θ = 45.9°, d 1.977, I 184

***

Which formula does entry 3 have? Tm2ZrW2